# 1
Starting from a cell relaxed with PBE, the powder XRD pattern of SmDy8Ho2 was computed for copper Kα.

Most intense lines, 2θ = 5–70°, by intensity:
d/Å, I_rel
2.894, 100
2.507, 51
1.772, 36
1.512, 29
1.510, 14
1.447, 12

Structural model:
Cell: 9.380 9.380 7.934 Å, 104.73 104.73 30.97°
Fractional coordinates of all 11 atoms:
Sm1 0.000 0.000 0.000
Dy1 0.091 0.091 0.456
Dy2 0.182 0.182 0.909
Dy3 0.363 0.363 0.817
Dy4 0.454 0.454 0.273
Dy5 0.546 0.546 0.727
Dy6 0.637 0.637 0.183
Dy7 0.818 0.818 0.091
Dy8 0.909 0.909 0.544
Ho1 0.272 0.272 0.364
Ho2 0.728 0.728 0.636

=====

# 2
Starting from a cell relaxed with PBE, the powder XRD pattern of Sm7Dy3Ho was computed for copper Kα.

Most intense lines, 2θ = 5–70°, by intensity:
d/Å, I_rel
2.845, 100
2.726, 36
2.806, 35
2.815, 22
1.627, 19
1.987, 17

Structural model:
Cell: 7.048 5.612 9.995 Å, 90.00 110.63 90.00°
Fractional coordinates of all 11 atoms:
Sm1 0.000 0.000 0.000
Sm2 0.145 0.500 0.292
Sm3 0.321 0.500 0.640
Sm4 0.414 0.000 0.829
Sm5 0.586 0.000 0.171
Sm6 0.679 0.500 0.360
Sm7 0.855 0.500 0.708
Dy1 0.000 0.000 0.500
Dy2 0.280 0.500 0.000
Dy3 0.720 0.500 0.000
Ho1 0.500 0.000 0.500

=====

# 3
Starting from a cell relaxed with PBE, the powder XRD pattern of SmDy7Ho4 was computed for copper Kα.

Most intense lines, 2θ = 5–70°, by intensity:
d/Å, I_rel
2.786, 100
2.649, 90
2.851, 51
1.513, 45
1.786, 39
3.071, 37

Structural model:
Cell: 6.186 7.143 8.797 Å, 90.02 103.53 90.01°
Fractional coordinates of all 12 atoms:
Sm1 0.000 0.000 0.000
Dy1 0.000 0.500 0.000
Dy2 0.222 0.000 0.666
Dy3 0.279 0.749 0.335
Dy4 0.500 0.251 0.000
Dy5 0.500 0.749 0.000
Dy6 0.721 0.251 0.665
Dy7 0.778 0.000 0.334
Ho1 0.221 0.500 0.666
Ho2 0.279 0.251 0.335
Ho3 0.721 0.749 0.665
Ho4 0.779 0.500 0.334

=====

# 4
Starting from a cell relaxed with PBE, the powder XRD pattern of SmDy4Ho7 was computed for copper Kα.

Most intense lines, 2θ = 5–70°, by intensity:
d/Å, I_rel
2.809, 100
2.755, 83
2.861, 38
2.916, 35
2.721, 19
1.602, 16

Structural model:
Cell: 6.479 6.780 8.999 Å, 85.59 76.72 81.78°
Fractional coordinates of all 12 atoms:
Sm1 0.000 0.000 0.000
Dy1 0.163 0.613 0.312
Dy2 0.360 0.194 0.714
Dy3 0.640 0.806 0.286
Dy4 0.837 0.387 0.688
Ho1 0.000 0.500 0.000
Ho2 0.191 0.105 0.388
Ho3 0.316 0.701 0.641
Ho4 0.484 0.251 0.051
Ho5 0.516 0.749 0.949
Ho6 0.684 0.299 0.359
Ho7 0.809 0.895 0.612

=====

Q: Which formula does entry 2 have?
A: Sm7Dy3Ho